This entry pairs a crystal structure of Ce3Y4O12 with its simulated X-ray powder pattern. Radiation: Cu Ka. Structure: the PBE geometry in the Materials Project.

Largest 12 diffraction maxima, in order of rising 2θ, 10 to 90 degrees two-theta:
2θ/deg  Rel. int.
28.2  100
28.8  99
32.6  17
33.2  40
47.0  17
47.2  35
47.3  32
48.4  18
55.8  12
55.9  14
56.1  13
57.0  27

```
data_Ce3Y4O12
_symmetry_space_group_name_H-M 'C 1 m 1'
_symmetry_Int_Tables_number 8
_cell_length_a 27.6270
_cell_length_b 3.7591
_cell_length_c 5.4997
_cell_angle_alpha 90.00
_cell_angle_beta 101.29
_cell_angle_gamma 90.00
loop_
_symmetry_equiv_pos_as_xyz
'x,y,z'
'x,-y,z'
'x+1/2,y+1/2,z'
'x+1/2,-y+1/2,z'
loop_
_atom_site_label
_atom_site_type_symbol
_atom_site_fract_x
_atom_site_fract_y
_atom_site_fract_z
_atom_site_occupancy
Ce1 Ce 0.0000 0.0000 0.0000 1
Ce2 Ce 0.0682 0.5000 0.5775 1
Ce3 Ce 0.1446 0.0000 0.1540 1
Y1 Y 0.2068 0.5000 0.7247 1
Y2 Y 0.2826 0.0000 0.2372 1
Y3 Y 0.3524 0.5000 0.8603 1
Y4 Y 0.4208 0.0000 0.4831 1
O1 O 0.0655 0.0000 0.3194 1
O2 O 0.0677 0.0000 0.8211 1
O3 O 0.1372 0.5000 0.8985 1
O4 O 0.1403 0.5000 0.4024 1
O5 O 0.2079 0.0000 0.9643 1
O6 O 0.2227 0.0000 0.4716 1
O7 O 0.2844 0.5000 0.0234 1
O8 O 0.3392 0.0000 0.5971 1
O9 O 0.3700 0.0000 0.1191 1
O10 O 0.4232 0.5000 0.6985 1
O11 O 0.4846 0.0000 0.2414 1
O12 O 0.4986 0.0000 0.7604 1
```